Theoretical powder X-ray diffraction pattern of Mn3FeP4O16 for copper Kα, from the GGA+U geometry in Alexandria.

Structure:
a b c (Å): 4.904 6.015 9.882
angles (deg): 90.00 90.35 90.00
Fractional positions:
1 Mn 0.000 0.000 0.000
2 Mn 0.155 0.500 0.427
3 Mn 0.657 0.000 0.503
4 Fe 0.524 0.500 0.936
5 P 0.168 0.000 0.315
6 P 0.481 0.000 0.815
7 P 0.673 0.500 0.615
8 P 0.980 0.500 0.118
9 O 0.217 0.000 0.160
10 O 0.286 0.500 0.093
11 O 0.316 0.201 0.383
12 O 0.316 0.799 0.383
13 O 0.341 0.203 0.885
14 O 0.341 0.797 0.885
15 O 0.362 0.500 0.590
16 O 0.431 0.000 0.661
17 O 0.723 0.500 0.768
18 O 0.795 0.000 0.837
19 O 0.818 0.299 0.545
20 O 0.818 0.701 0.545
21 O 0.827 0.302 0.045
22 O 0.827 0.698 0.045
23 O 0.858 0.000 0.338
24 O 0.922 0.500 0.270

Largest 12 diffraction maxima, in order of rising 2θ, 10° ≤ 2θ ≤ 80°:
2θ/deg  intensity  (hkl)
17.95  64  0 0 2
20.21  100  1 0 -1
23.30  15  0 1 2
25.10  65  1 1 1
29.59  19  1 1 -2
29.71  94  0 2 0
36.00  33  1 1 -3
36.18  71  1 1 3
48.81  21  2 2 1
52.69  15  1 3 2
58.07  21  0 1 6
61.66  22  0 4 0